Entry 1:
TbPm2Ho4Sc: calculated PXRD pattern (Cu Kα), based on a DFT-relaxed cell (PBE, Alexandria).
Kinematic intensities with the Lorentz-polarization factor, no thermal factor.

Cell and atoms:
a = 6.7385 Å, b = 11.6838 Å, c = 13.0898 Å
α = 90.00°, β = 90.00°, γ = 90.00°
Space group Imma (No. 74)
Asymmetric unit:
Tb1 0.0000 0.0000 0.0000 x4
Pm1 0.0000 0.0000 0.5000 x4
Pm2 0.2500 0.2500 0.2500 x4
Ho1 0.0000 0.0150 0.7507 x8
Ho2 0.2504 0.2500 0.5133 x8
Sc1 0.2500 0.2500 0.7500 x4

The 12 most intense peaks (10° ≤ 2θ ≤ 80°), sorted by position:
- 27.25°, rel. 44.5, hkl 0 0 4
- 30.62°, rel. 100.0, hkl 2 2 0
- 30.77°, rel. 3.8, hkl 0 3 3
- 34.50°, rel. 3.4, hkl 2 1 3
- 41.45°, rel. 85.2, hkl 2 2 4
- 54.44°, rel. 20.5, hkl 4 0 0
- 56.22°, rel. 5.4, hkl 0 0 8
- 61.93°, rel. 25.0, hkl 4 0 4
- 63.72°, rel. 3.6, hkl 0 8 0
- 63.78°, rel. 8.1, hkl 4 4 0
- 65.38°, rel. 20.0, hkl 2 2 8
- 70.66°, rel. 16.7, hkl 4 4 4

***

Entry 2:
SrAc2Sb3Pd6: calculated PXRD pattern (Cu Kα), based on a DFT-relaxed cell (PBE, Alexandria).
Kinematic intensities with the Lorentz-polarization factor, no thermal factor.

Cell and atoms:
a = 4.4187 Å, b = 4.4187 Å, c = 17.2827 Å
α = 90.00°, β = 90.00°, γ = 90.00°
Space group P4/mmm (No. 123)
Asymmetric unit:
Sr1 0.0000 0.0000 0.0000 x1
Ac1 0.0000 0.0000 0.3067 x2
Sb1 0.5000 0.5000 0.2070 x2
Sb2 0.5000 0.5000 0.5000 x1
Pd1 0.0000 0.5000 0.1297 x4
Pd2 0.5000 0.5000 0.3560 x2

The 12 most intense peaks (10° ≤ 2θ ≤ 80°), sorted by position:
- 10.24°, rel. 94.1, hkl 0 0 2
- 25.40°, rel. 96.2, hkl 1 0 3
- 28.57°, rel. 49.8, hkl 1 1 0
- 29.04°, rel. 64.9, hkl 1 1 1
- 32.60°, rel. 78.3, hkl 1 1 3
- 32.90°, rel. 37.6, hkl 1 0 5
- 35.46°, rel. 48.7, hkl 1 1 4
- 40.84°, rel. 100.0, hkl 2 0 0
- 41.92°, rel. 66.3, hkl 1 0 7
- 48.72°, rel. 33.7, hkl 2 1 3
- 59.14°, rel. 33.4, hkl 2 2 0
- 59.96°, rel. 46.7, hkl 2 1 7

***

Entry 3:
CsUCl6: calculated PXRD pattern (Cu Kα), based on a DFT-relaxed cell (PBE, Alexandria).
Kinematic intensities with the Lorentz-polarization factor, no thermal factor.

Cell and atoms:
a = 8.7203 Å, b = 10.3023 Å, c = 6.7859 Å
α = 90.00°, β = 105.64°, γ = 90.00°
Space group C2/m (No. 12)
Asymmetric unit:
Cs1 0.0000 0.0000 0.0000 x2
U1 0.0000 0.5000 0.5000 x2
Cl1 0.0984 0.3274 0.7715 x8
Cl2 0.2277 0.0000 0.5674 x4

The 12 most intense peaks (10° ≤ 2θ ≤ 80°), sorted by position:
- 13.59°, rel. 41.9, hkl 0 0 1
- 17.10°, rel. 100.0, hkl 1 1 -1
- 17.21°, rel. 48.7, hkl 0 2 0
- 21.18°, rel. 82.2, hkl 2 0 0
- 27.40°, rel. 17.8, hkl 2 2 0
- 32.43°, rel. 80.8, hkl 0 2 2
- 32.56°, rel. 39.1, hkl 1 3 1
- 34.60°, rel. 20.4, hkl 2 2 -2
- 44.81°, rel. 14.5, hkl 0 4 2
- 46.64°, rel. 22.6, hkl 1 1 3
- 46.76°, rel. 28.7, hkl 3 3 1
- 53.33°, rel. 14.7, hkl 0 6 0

***

Entry 4:
Tl2GaCu3Se4: calculated PXRD pattern (Cu Kα), based on a DFT-relaxed cell (PBE, Alexandria).
Kinematic intensities with the Lorentz-polarization factor, no thermal factor.

Cell and atoms:
a = 5.6987 Å, b = 14.1310 Å, c = 5.6348 Å
α = 90.00°, β = 90.00°, γ = 90.00°
Space group C222 (No. 21)
Asymmetric unit:
Tl1 0.2500 0.2500 0.2453 x4
Ga1 0.0000 0.5000 0.0000 x2
Cu1 0.0000 0.0000 0.0000 x2
Cu2 0.0000 0.0000 0.5000 x2
Cu3 0.0000 0.5000 0.5000 x2
Se1 0.2459 0.3919 0.7542 x8

The 12 most intense peaks (10° ≤ 2θ ≤ 80°), sorted by position:
- 23.07°, rel. 14.4, hkl 1 1 1
- 25.21°, rel. 11.6, hkl 0 4 0
- 29.26°, rel. 100.0, hkl 1 3 1
- 33.92°, rel. 27.4, hkl 2 2 0
- 34.26°, rel. 26.6, hkl 0 2 2
- 39.00°, rel. 22.8, hkl 1 5 1
- 45.26°, rel. 32.2, hkl 2 0 2
- 50.26°, rel. 18.0, hkl 2 6 0
- 50.51°, rel. 17.7, hkl 0 6 2
- 54.58°, rel. 17.5, hkl 3 3 1
- 55.05°, rel. 17.0, hkl 1 3 3
- 71.16°, rel. 13.0, hkl 2 8 2

***

Entry 5:
Ce2UPN5: calculated PXRD pattern (Cu Kα), based on a DFT-relaxed cell (PBE, Alexandria).
Kinematic intensities with the Lorentz-polarization factor, no thermal factor.

Cell and atoms:
a = 6.4682 Å, b = 6.4682 Å, c = 5.6156 Å
α = 90.00°, β = 90.00°, γ = 90.00°
Space group P4/mbm (No. 127)
Asymmetric unit:
Ce1 0.1751 0.3249 0.0000 x4
U1 0.0000 0.0000 0.5000 x2
P1 0.0000 0.5000 0.5000 x2
N1 0.0000 0.0000 0.0000 x2
N2 0.1379 0.6379 0.2846 x8

The 12 most intense peaks (10° ≤ 2θ ≤ 80°), sorted by position:
- 19.41°, rel. 11.1, hkl 1 1 0
- 25.11°, rel. 42.7, hkl 1 1 1
- 30.91°, rel. 12.0, hkl 2 1 0
- 31.92°, rel. 100.0, hkl 0 0 2
- 34.89°, rel. 30.5, hkl 2 1 1
- 39.40°, rel. 16.9, hkl 2 2 0
- 44.28°, rel. 23.6, hkl 3 1 0
- 44.99°, rel. 18.6, hkl 2 1 2
- 51.54°, rel. 15.4, hkl 2 2 2
- 55.59°, rel. 18.3, hkl 3 1 2
- 56.83°, rel. 14.9, hkl 2 0 3
- 63.20°, rel. 13.1, hkl 3 3 1

***

Entry 6:
Li13Cu3: calculated PXRD pattern (Cu Kα), based on a DFT-relaxed cell (PBE, Alexandria).
Kinematic intensities with the Lorentz-polarization factor, no thermal factor.

Cell and atoms:
a = 6.3225 Å, b = 9.1152 Å, c = 9.2347 Å
α = 90.00°, β = 90.00°, γ = 90.00°
Space group Amm2 (No. 38)
Asymmetric unit:
Li1 0.0000 0.0000 0.0000 x2
Li2 0.0000 0.0000 0.4540 x2
Li3 0.0000 0.2093 0.2449 x4
Li4 0.2389 0.0000 0.7348 x4
Li5 0.2589 0.2347 0.9990 x8
Li6 0.5000 0.0000 0.4571 x2
Li7 0.5000 0.2484 0.7502 x4
Cu1 0.2972 0.0000 0.2086 x4
Cu2 0.5000 0.0000 0.9734 x2

The 12 most intense peaks (10° ≤ 2θ ≤ 80°), sorted by position:
- 13.65°, rel. 100.0, hkl 0 1 1
- 14.01°, rel. 21.8, hkl 1 0 0
- 19.48°, rel. 35.5, hkl 0 2 0
- 19.61°, rel. 22.6, hkl 1 1 1
- 24.07°, rel. 11.8, hkl 1 2 0
- 30.98°, rel. 13.0, hkl 0 3 1
- 31.48°, rel. 14.6, hkl 2 1 1
- 34.38°, rel. 13.4, hkl 2 0 2
- 39.01°, rel. 10.4, hkl 0 0 4
- 39.55°, rel. 11.0, hkl 0 4 0
- 39.82°, rel. 35.9, hkl 2 2 2
- 42.16°, rel. 13.3, hkl 2 1 3

***

Entry 7:
Sm3S3Cl: calculated PXRD pattern (Cu Kα), based on a DFT-relaxed cell (PBE, Alexandria).
Kinematic intensities with the Lorentz-polarization factor, no thermal factor.

Cell and atoms:
a = 3.9904 Å, b = 3.9904 Å, c = 11.1684 Å
α = 90.00°, β = 90.00°, γ = 90.00°
Space group P4/mmm (No. 123)
Asymmetric unit:
Sm1 0.0000 0.0000 0.0000 x1
Sm2 0.5000 0.5000 0.2575 x2
S1 0.0000 0.0000 0.2563 x2
S2 0.5000 0.5000 0.0000 x1
Cl1 0.5000 0.5000 0.5000 x1

The 12 most intense peaks (10° ≤ 2θ ≤ 80°), sorted by position:
- 15.87°, rel. 16.5, hkl 0 0 2
- 22.28°, rel. 16.5, hkl 1 0 0
- 23.68°, rel. 32.8, hkl 1 0 1
- 27.47°, rel. 79.5, hkl 1 0 2
- 31.71°, rel. 100.0, hkl 1 1 0
- 32.06°, rel. 47.5, hkl 0 0 4
- 45.46°, rel. 35.8, hkl 2 0 0
- 45.71°, rel. 69.0, hkl 1 1 4
- 53.94°, rel. 27.3, hkl 2 1 2
- 56.71°, rel. 35.9, hkl 2 0 4
- 75.31°, rel. 15.8, hkl 3 1 0
- 75.50°, rel. 15.3, hkl 2 2 4

***

Entry 8:
Pr3CdHg: calculated PXRD pattern (Cu Kα), based on a DFT-relaxed cell (PBE, Alexandria).
Kinematic intensities with the Lorentz-polarization factor, no thermal factor.

Cell and atoms:
a = 5.4711 Å, b = 20.4172 Å, c = 5.4658 Å
α = 90.00°, β = 90.00°, γ = 90.00°
Space group Cmcm (No. 63)
Asymmetric unit:
Pr1 0.0000 0.0607 0.2500 x4
Pr2 0.0000 0.2497 0.2500 x4
Pr3 0.0000 0.4375 0.2500 x4
Cd1 0.0000 0.1527 0.7500 x4
Hg1 0.0000 0.3472 0.7500 x4

The 12 most intense peaks (10° ≤ 2θ ≤ 80°), sorted by position:
- 31.87°, rel. 100.0, hkl 1 5 1
- 32.75°, rel. 49.1, hkl 2 0 0
- 38.67°, rel. 2.8, hkl 1 7 1
- 44.37°, rel. 8.5, hkl 0 10 0
- 47.00°, rel. 18.0, hkl 2 0 2
- 56.23°, rel. 16.9, hkl 2 10 0
- 57.91°, rel. 36.4, hkl 3 5 1
- 66.62°, rel. 10.1, hkl 2 10 2
- 68.65°, rel. 5.7, hkl 4 0 0
- 73.80°, rel. 5.7, hkl 1 15 1
- 77.69°, rel. 7.7, hkl 3 5 3
- 78.17°, rel. 8.0, hkl 4 0 2